Diffraction record for Mg3Si4. The powder diffraction line list is simulated, not measured: it uses a cell relaxed with PBE and Cu Kα (weighted mean of Kα1 and Kα2).
No peak broadening, texture or thermal motion is included.

Atomic structure:
```
data_Mg3Si4
_chemical_formula_sum 'Mg12 Si16'
_cell_length_a 15.8425
_cell_length_b 3.8697
_cell_length_c 9.8086
_cell_angle_alpha 90.00
_cell_angle_beta 117.97
_cell_angle_gamma 90.00
_symmetry_space_group_name_H-M 'C 1 m 1'
_symmetry_Int_Tables_number 8
loop_
_symmetry_equiv_pos_as_xyz
'x,y,z'
'x,-y,z'
'x+1/2,y+1/2,z'
'x+1/2,-y+1/2,z'
loop_
_atom_site_label
_atom_site_fract_x
_atom_site_fract_y
_atom_site_fract_z
_atom_site_occupancy
Mg1 0.0000 0.0000 0.0000 1
Mg2 0.0031 0.5000 0.7310 1
Mg3 0.1549 0.0000 0.6296 1
Mg4 0.2759 0.5000 0.9239 1
Mg5 0.3034 0.5000 0.5749 1
Mg6 0.3081 0.0000 0.2375 1
Si1 0.0179 0.5000 0.4579 1
Si2 0.0759 0.5000 0.2687 1
Si3 0.1382 0.0000 0.9097 1
Si4 0.1590 0.5000 0.0783 1
Si5 0.1761 0.0000 0.3432 1
Si6 0.3560 0.0000 0.8054 1
Si7 0.4096 0.0000 0.0787 1
Si8 0.4316 0.5000 0.4671 1
```

The 10 most intense peaks (10° ≤ 2θ ≤ 80°), sorted by position:
- hkl 1 1 2, 2θ 33.61, I 50
- hkl 3 1 1, 2θ 34.66, I 100
- hkl 1 1 -3, 2θ 36.93, I 33
- hkl 4 0 -4, 2θ 37.15, I 60
- hkl 2 0 3, 2θ 38.92, I 26
- hkl 5 1 0, 2θ 39.75, I 29
- hkl 5 1 -3, 2θ 40.16, I 35
- hkl 3 1 -4, 2θ 43.70, I 35
- hkl 0 2 0, 2θ 46.96, I 56
- hkl 2 2 4, 2θ 70.63, I 21

Diffraction record for Mg3Si4. The powder diffraction line list is simulated, not measured: it uses a cell relaxed with PBE and Cu Kα (weighted mean of Kα1 and Kα2).
No peak broadening, texture or thermal motion is included.

Atomic structure:
```
data_Mg3Si4
_chemical_formula_sum 'Mg12 Si16'
_cell_length_a 6.8804
_cell_length_b 8.1088
_cell_length_c 10.4836
_cell_angle_alpha 82.15
_cell_angle_beta 75.67
_cell_angle_gamma 65.96
_symmetry_space_group_name_H-M 'P 1'
_symmetry_Int_Tables_number 1
loop_
_symmetry_equiv_pos_as_xyz
'x,y,z'
loop_
_atom_site_label
_atom_site_fract_x
_atom_site_fract_y
_atom_site_fract_z
_atom_site_occupancy
Mg1 0.0000 0.0000 0.0000 1
Mg2 0.0112 0.0591 0.3563 1
Mg3 0.0979 0.3804 0.6756 1
Mg4 0.2708 0.2799 0.3172 1
Mg5 0.3381 0.4488 0.0534 1
Mg6 0.4484 0.0051 0.7642 1
Mg7 0.4904 0.7343 0.0025 1
Mg8 0.5275 0.5705 0.3071 1
Mg9 0.5510 0.2591 0.5143 1
Mg10 0.6754 0.8666 0.3907 1
Mg11 0.8665 0.1173 0.7165 1
Mg12 0.9227 0.6934 0.8636 1
Si1 0.1053 0.6110 0.4397 1
Si2 0.1341 0.7538 0.2059 1
Si3 0.1620 0.2757 0.9398 1
Si4 0.2575 0.0855 0.5433 1
Si5 0.2736 0.7860 0.5437 1
Si6 0.3066 0.7200 0.7689 1
Si7 0.4251 0.3890 0.7832 1
Si8 0.4533 0.9192 0.2040 1
Si9 0.5663 0.0527 0.9963 1
Si10 0.6877 0.2251 0.1932 1
Si11 0.6913 0.6169 0.6762 1
Si12 0.7441 0.4033 0.8846 1
Si13 0.8204 0.4529 0.4783 1
Si14 0.8446 0.7014 0.1343 1
Si15 0.8606 0.8429 0.5950 1
Si16 0.9571 0.3653 0.1639 1
```

The 10 most intense peaks (10° ≤ 2θ ≤ 80°), sorted by position:
- hkl 1 -1 3, 2θ 32.54, I 100
- hkl 1 0 4, 2θ 35.27, I 59
- hkl 1 3 2, 2θ 35.73, I 61
- hkl 1 3 -1, 2θ 35.83, I 57
- hkl 2 2 -2, 2θ 38.28, I 90
- hkl -1 2 2, 2θ 38.40, I 54
- hkl 3 1 1, 2θ 39.69, I 99
- hkl 3 2 1, 2θ 39.93, I 44
- hkl 2 3 3, 2θ 40.81, I 51
- hkl 0 1 5, 2θ 45.87, I 49

Diffraction record for Mg3Si4. The powder diffraction line list is simulated, not measured: it uses a cell relaxed with PBE and Cu Kα (weighted mean of Kα1 and Kα2).
No peak broadening, texture or thermal motion is included.

Atomic structure:
```
data_Mg3Si4
_chemical_formula_sum 'Mg6 Si8'
_cell_length_a 6.3936
_cell_length_b 6.5706
_cell_length_c 7.1686
_cell_angle_alpha 71.71
_cell_angle_beta 68.66
_cell_angle_gamma 79.79
_symmetry_space_group_name_H-M 'P 1'
_symmetry_Int_Tables_number 1
loop_
_symmetry_equiv_pos_as_xyz
'x,y,z'
loop_
_atom_site_label
_atom_site_fract_x
_atom_site_fract_y
_atom_site_fract_z
_atom_site_occupancy
Mg1 0.0000 0.0000 0.0000 1
Mg2 0.0382 0.6374 0.3934 1
Mg3 0.2787 0.4931 0.9367 1
Mg4 0.5181 0.6360 0.4253 1
Mg5 0.7215 0.2093 0.6999 1
Mg6 0.7794 0.5402 0.9061 1
Si1 0.0785 0.8600 0.6398 1
Si2 0.1918 0.1982 0.3833 1
Si3 0.2234 0.3100 0.6627 1
Si4 0.4072 0.9439 0.6965 1
Si5 0.4120 0.8141 0.0506 1
Si6 0.5329 0.1026 0.1310 1
Si7 0.7343 0.9933 0.3918 1
Si8 0.8787 0.3514 0.2631 1
```

The 10 most intense peaks (10° ≤ 2θ ≤ 80°), sorted by position:
- hkl 1 2 1, 2θ 28.74, I 42
- hkl 2 1 0, 2θ 32.49, I 30
- hkl 0 2 2, 2θ 34.24, I 32
- hkl 2 -1 0, 2θ 34.40, I 46
- hkl 2 -1 1, 2θ 34.75, I 100
- hkl 2 2 1, 2θ 36.34, I 29
- hkl -2 1 1, 2θ 39.52, I 33
- hkl 2 1 -1, 2θ 40.71, I 47
- hkl 2 1 3, 2θ 40.85, I 65
- hkl 0 3 1, 2θ 41.95, I 53

Diffraction record for Mg4Si3. The powder diffraction line list is simulated, not measured: it uses a cell relaxed with PBE and Cu Kα (weighted mean of Kα1 and Kα2).
No peak broadening, texture or thermal motion is included.

Atomic structure:
```
data_Mg4Si3
_chemical_formula_sum 'Mg8 Si6'
_cell_length_a 5.8553
_cell_length_b 7.3521
_cell_length_c 7.6215
_cell_angle_alpha 116.60
_cell_angle_beta 112.53
_cell_angle_gamma 90.26
_symmetry_space_group_name_H-M 'P 1'
_symmetry_Int_Tables_number 1
loop_
_symmetry_equiv_pos_as_xyz
'x,y,z'
loop_
_atom_site_label
_atom_site_fract_x
_atom_site_fract_y
_atom_site_fract_z
_atom_site_occupancy
Mg1 0.0000 0.0000 0.0000 1
Mg2 0.0224 0.9116 0.5489 1
Mg3 0.1153 0.5400 0.7364 1
Mg4 0.1424 0.4632 0.3138 1
Mg5 0.4673 0.2997 0.9643 1
Mg6 0.5356 0.9281 0.5793 1
Mg7 0.6299 0.5476 0.7646 1
Mg8 0.6758 0.1623 0.3501 1
Si1 0.1106 0.7315 0.1574 1
Si2 0.2262 0.1748 0.4565 1
Si3 0.4446 0.9031 0.8977 1
Si4 0.5367 0.7318 0.1583 1
Si5 0.6979 0.5593 0.4172 1
Si6 0.9295 0.2890 0.8588 1
```

The 10 most intense peaks (10° ≤ 2θ ≤ 80°), sorted by position:
- hkl 2 0 -1, 2θ 30.54, I 66
- hkl 2 0 -2, 2θ 33.89, I 48
- hkl 2 0 0, 2θ 33.93, I 48
- hkl 1 1 -3, 2θ 35.58, I 54
- hkl 0 3 -1, 2θ 37.15, I 100
- hkl 0 3 -2, 2θ 37.75, I 46
- hkl 0 1 2, 2θ 38.10, I 80
- hkl 0 2 -3, 2θ 38.96, I 75
- hkl 2 -2 0, 2θ 39.27, I 45
- hkl -2 1 2, 2θ 39.43, I 74